Structure and calculated powder XRD pattern of Sm7Er12Cd (a crystal structure in Alexandria, relaxed with PBE; a wavelength of 1.5418 Å).
Intensities are scaled so that the largest is 100.

Most intense lines, 15° ≤ 2θ ≤ 90°, by angle:
hkl 0 3 -1, 2θ = 30.91°, I = 39
hkl 2 2 -1, 2θ = 31.05°, I = 100
hkl 3 -1 0, 2θ = 31.29°, I = 61
hkl 1 -2 3, 2θ = 32.04°, I = 77
hkl -2 2 1, 2θ = 32.18°, I = 34
hkl 1 1 2, 2θ = 32.59°, I = 80
hkl 3 -1 1, 2θ = 33.28°, I = 33
hkl 2 1 -3, 2θ = 33.66°, I = 52
hkl -2 2 2, 2θ = 39.37°, I = 25
hkl -4 1 4, 2θ = 59.99°, I = 28

Cell and atoms:
Cell lengths 8.740, 8.872, 9.396 Å; angles 116.01, 95.80, 97.69 degrees
Space group P-1 (No. 2)
Symmetry-distinct sites (fractional):
Sm1 0.000 0.000 0.000 x1
Sm2 0.172 0.595 0.633 x2
Sm3 0.303 0.708 0.017 x2
Sm4 0.412 0.331 0.719 x2
Er1 0.036 0.310 0.824 x2
Er2 0.057 0.135 0.418 x2
Er3 0.209 0.423 0.216 x2
Er4 0.306 0.061 0.876 x2
Er5 0.306 0.879 0.456 x2
Er6 0.405 0.129 0.267 x2
Cd1 0.500 0.500 0.500 x1

---

Structure and calculated powder XRD pattern of Ta3NbRh6 (a crystal structure in Alexandria, relaxed with PBE; a wavelength of 1.5418 Å).
Intensities are scaled so that the largest is 100.

Most intense lines, 15° ≤ 2θ ≤ 90°, by angle:
hkl 1 1 2, 2θ = 39.24°, I = 99
hkl 0 2 -4, 2θ = 39.46°, I = 100
hkl 1 3 -2, 2θ = 44.82°, I = 33
hkl -1 1 4, 2θ = 45.18°, I = 34
hkl 2 -2 2, 2θ = 47.24°, I = 30
hkl 2 2 -6, 2θ = 65.51°, I = 12
hkl 1 -1 6, 2θ = 67.44°, I = 29
hkl 1 5 -6, 2θ = 79.14°, I = 11
hkl 1 1 -8, 2θ = 79.53°, I = 12
hkl 2 -4 6, 2θ = 82.67°, I = 11

Cell and atoms:
Cell lengths 4.803, 7.435, 9.764 Å; angles 108.41, 101.78, 100.41 degrees
Space group P-1 (No. 2)
Symmetry-distinct sites (fractional):
Ta1 0.047 0.354 0.302 x2
Ta2 0.285 0.774 0.504 x2
Ta3 0.359 0.469 0.108 x2
Nb1 0.179 0.054 0.892 x2
Rh1 0.053 0.351 0.799 x2
Rh2 0.135 0.057 0.399 x2
Rh3 0.235 0.755 0.999 x2
Rh4 0.341 0.451 0.597 x2
Rh5 0.431 0.151 0.197 x2
Rh6 0.458 0.151 0.701 x2

---

Structure and calculated powder XRD pattern of Sr8P5 (a crystal structure in Alexandria, relaxed with PBE; a wavelength of 1.5418 Å).
Intensities are scaled so that the largest is 100.

Most intense lines, 15° ≤ 2θ ≤ 90°, by angle:
hkl 4 0 -2, 2θ = 25.07°, I = 29
hkl 2 0 1, 2θ = 25.86°, I = 100
hkl 2 2 -2, 2θ = 26.28°, I = 74
hkl 2 0 -3, 2θ = 26.57°, I = 33
hkl 4 0 0, 2θ = 33.63°, I = 25
hkl 4 2 -3, 2θ = 34.46°, I = 47
hkl 0 4 0, 2θ = 40.02°, I = 19
hkl 0 2 3, 2θ = 40.22°, I = 41
hkl 6 2 -2, 2θ = 44.43°, I = 22
hkl 4 2 -5, 2θ = 48.68°, I = 19

Cell and atoms:
Cell lengths 14.216, 9.012, 10.340 Å; angles 90.00, 131.42, 90.00 degrees
Space group C2/m (No. 12)
Symmetry-distinct sites (fractional):
Sr1 0.006 0.000 0.202 x4
Sr2 0.036 0.500 0.842 x4
Sr3 0.221 0.218 0.661 x8
P1 0.000 0.000 0.500 x2
P2 0.000 0.256 0.000 x4
P3 0.210 0.500 0.501 x4

---

Structure and calculated powder XRD pattern of Rb2H5Br4 (a crystal structure in Alexandria, relaxed with PBE; a wavelength of 1.5418 Å).
Intensities are scaled so that the largest is 100.

Most intense lines, 15° ≤ 2θ ≤ 90°, by angle:
hkl 1 1 1, 2θ = 23.03°, I = 100
hkl 1 1 -2, 2θ = 24.50°, I = 21
hkl 2 0 -3, 2θ = 26.10°, I = 21
hkl 4 0 -2, 2θ = 27.53°, I = 35
hkl 3 1 0, 2θ = 29.07°, I = 26
hkl 4 0 -3, 2θ = 30.92°, I = 13
hkl 3 1 -3, 2θ = 32.54°, I = 32
hkl 0 2 0, 2θ = 34.53°, I = 35
hkl 4 2 -2, 2θ = 44.73°, I = 19
hkl 7 1 -3, 2θ = 51.89°, I = 14

Cell and atoms:
Cell lengths 13.144, 5.192, 10.247 Å; angles 90.00, 119.58, 90.00 degrees
Space group C2/m (No. 12)
Symmetry-distinct sites (fractional):
Rb1 0.200 0.000 0.232 x4
H1 0.000 0.000 0.500 x2
H2 0.081 0.077 0.877 x8
Br1 0.089 0.500 0.890 x4
Br2 0.141 0.000 0.535 x4

---

Structure and calculated powder XRD pattern of Ce3GeAu3 (a crystal structure in Alexandria, relaxed with PBE; a wavelength of 1.5418 Å).
Intensities are scaled so that the largest is 100.

Most intense lines, 15° ≤ 2θ ≤ 90°, by angle:
hkl 0 0 6, 2θ = 27.05°, I = 21
hkl 1 1 2, 2θ = 31.48°, I = 100
hkl 1 0 5, 2θ = 31.94°, I = 28
hkl 1 1 4, 2θ = 35.27°, I = 40
hkl 0 1 7, 2θ = 37.66°, I = 50
hkl 0 2 0, 2θ = 40.36°, I = 36
hkl 1 1 6, 2θ = 40.92°, I = 44
hkl 2 0 0, 2θ = 45.73°, I = 25
hkl 2 1 7, 2θ = 60.68°, I = 25
hkl 2 2 0, 2θ = 62.61°, I = 20

Cell and atoms:
Cell lengths 3.968, 4.470, 19.781 Å; angles 90.00, 90.00, 90.00 degrees
Space group Imm2 (No. 44)
Symmetry-distinct sites (fractional):
Ce1 0.000 0.000 0.000 x2
Ce2 0.000 0.000 0.369 x2
Ce3 0.000 0.500 0.189 x2
Ge1 0.000 0.500 0.751 x2
Au1 0.000 0.000 0.530 x2
Au2 0.000 0.000 0.833 x2
Au3 0.000 0.500 0.621 x2